[1]
Theoretical XRD peak list
Compound: MgGa
Radiation: CuKα
Structure: a DFT-relaxed cell (PBE, the Materials Project)
Peak positions follow from Bragg's law for the DFT cell and can differ from measured ones.

Most intense lines, 10° ≤ 2θ ≤ 90°, low angle first:
d_spacing	Position (°2θ)	I/Imax
7.559	11.71	66
2.692	33.28	22
2.520	35.63	12
2.512	35.74	38
2.373	37.91	100
2.252	40.03	37
2.010	45.11	13
1.837	49.63	14
1.486	62.51	13
1.422	65.66	19
1.345	69.93	13
1.279	74.14	15

Structure:
Cell lengths 5.024, 7.725, 7.725 Å; angles 23.79, 90.00, 90.00 degrees
Sites, in units of the cell vectors:
Mg 0.000 0.000 0.000
Mg 0.000 0.314 0.314
Mg 0.500 0.879 0.879
Ga 0.000 0.659 0.659
Ga 0.500 0.205 0.205
Ga 0.500 0.548 0.548

***

[2]
Theoretical XRD peak list
Compound: MgGa
Radiation: CuKα
Structure: a DFT-relaxed cell (PBE, the Materials Project)
Peak positions follow from Bragg's law for the DFT cell and can differ from measured ones.

Most intense lines, 10° ≤ 2θ ≤ 90°, low angle first:
d_spacing	Position (°2θ)	I/Imax
7.619	11.61	25
4.177	21.27	16
2.697	33.22	25
2.643	33.91	15
2.498	35.96	37
2.373	37.91	100
2.264	39.82	41
1.832	49.76	15
1.495	62.09	14
1.417	65.93	18
1.302	72.62	13
1.283	73.89	16

Structure:
Cell lengths 4.995, 7.784, 7.784 Å; angles 23.60, 90.00, 90.00 degrees
Sites, in units of the cell vectors:
Mg 0.000 0.000 0.000
Mg 0.000 0.325 0.325
Mg 0.500 0.557 0.557
Ga 0.000 0.665 0.665
Ga 0.500 0.218 0.218
Ga 0.500 0.886 0.886

***

[3]
Theoretical XRD peak list
Compound: Mg2Ga
Radiation: CuKα
Structure: a DFT-relaxed cell (PBE, the Materials Project)
Peak positions follow from Bragg's law for the DFT cell and can differ from measured ones.

Most intense lines, 10° ≤ 2θ ≤ 90°, low angle first:
d_spacing	Position (°2θ)	I/Imax
4.858	18.26	19
4.711	18.84	15
3.382	26.35	11
2.720	32.93	34
2.429	37.01	23
2.373	37.91	100
1.812	50.37	20
1.570	58.81	17
1.391	67.30	17
1.319	71.55	18
1.310	72.13	14
1.187	81.04	5

Structure:
Cell lengths 5.440, 5.440, 4.858 Å; angles 90.00, 90.00, 120.00 degrees
Sites, in units of the cell vectors:
Mg 0.000 0.000 0.000
Mg 0.000 0.341 0.500
Mg 0.341 0.000 0.500
Mg 0.659 0.659 0.500
Ga 0.333 0.667 0.000
Ga 0.667 0.333 0.000

***

[4]
Theoretical XRD peak list
Compound: MgGa
Radiation: CuKα
Structure: a DFT-relaxed cell (PBE, the Materials Project)
Peak positions follow from Bragg's law for the DFT cell and can differ from measured ones.

Most intense lines, 10° ≤ 2θ ≤ 90°, low angle first:
d_spacing	Position (°2θ)	I/Imax
3.644	24.43	51
2.985	29.93	15
2.602	34.47	63
2.552	35.16	16
2.327	38.69	44
2.292	39.32	100
1.961	46.29	14
1.840	49.55	13
1.492	62.20	17
1.435	64.99	17
1.295	73.09	16
1.262	75.30	12

Structure:
Cell lengths 7.921, 7.921, 7.921 Å; angles 97.86, 97.86, 136.59 degrees
Sites, in units of the cell vectors:
Mg 0.123 0.823 0.013
Mg 0.310 0.110 0.487
Mg 0.323 0.810 0.700
Mg 0.390 0.377 0.200
Mg 0.610 0.623 0.800
Mg 0.677 0.190 0.300
Mg 0.690 0.890 0.513
Mg 0.877 0.177 0.987
Ga 0.137 0.116 0.799
Ga 0.162 0.363 0.478
Ga 0.183 0.662 0.299
Ga 0.384 0.683 0.022
Ga 0.616 0.317 0.978
Ga 0.817 0.338 0.701
Ga 0.838 0.637 0.522
Ga 0.863 0.884 0.201

***

[5]
Theoretical XRD peak list
Compound: MgGa2
Radiation: CuKα
Structure: a DFT-relaxed cell (PBE, the Materials Project)
Peak positions follow from Bragg's law for the DFT cell and can differ from measured ones.

Most intense lines, 10° ≤ 2θ ≤ 90°, low angle first:
d_spacing	Position (°2θ)	I/Imax
3.762	23.65	33
3.533	25.21	36
3.321	26.85	36
2.575	34.84	79
2.172	41.58	100
1.996	45.43	57
1.850	49.24	34
1.660	55.33	20
1.470	63.27	20
1.323	71.29	21
1.319	71.52	18
1.217	78.59	21

Structure:
Cell lengths 4.344, 4.344, 7.066 Å; angles 90.00, 90.00, 120.00 degrees
Sites, in units of the cell vectors:
Mg 0.000 0.000 0.250
Mg 0.000 0.000 0.750
Ga 0.333 0.667 0.051
Ga 0.333 0.667 0.449
Ga 0.667 0.333 0.551
Ga 0.667 0.333 0.949

***

[6]
Theoretical XRD peak list
Compound: Mg7Ga
Radiation: CuKα
Structure: a DFT-relaxed cell (PBE, the Materials Project)
Peak positions follow from Bragg's law for the DFT cell and can differ from measured ones.

Most intense lines, 10° ≤ 2θ ≤ 90°, low angle first:
d_spacing	Position (°2θ)	I/Imax
5.476	16.19	18
5.084	17.44	5
3.726	23.88	14
2.738	32.71	26
2.685	33.37	6
2.542	35.31	26
2.411	37.30	100
1.863	48.89	16
1.581	58.37	17
1.441	64.69	19
1.342	70.10	19
1.322	71.35	14

Structure:
Cell lengths 6.323, 6.323, 5.084 Å; angles 90.00, 90.00, 120.00 degrees
Sites, in units of the cell vectors:
Mg 0.000 0.000 0.000
Mg 0.002 0.501 0.000
Mg 0.333 0.166 0.500
Mg 0.499 0.501 0.000
Mg 0.499 0.998 0.000
Mg 0.834 0.166 0.500
Mg 0.834 0.667 0.500
Ga 0.333 0.667 0.500